Entry 1:
This entry pairs a crystal structure of MgNb2Te4Cl10O with its simulated powder diffractogram. Radiation: a wavelength of 1.5418 Å. Structure: a DFT-relaxed cell (GGA-PBE, the Materials Project).

Peak list (12 most intense, 10 to 90 degrees two-theta, low angle first)
(0 1 1), 2θ = 12.74°, d 6.947, intensity 27.9; (1 1 0), 2θ = 14.78°, d 5.993, intensity 24.4; (0 1 -1), 2θ = 15.01°, d 5.901, intensity 30.3; (1 0 -1), 2θ = 16.56°, d 5.352, intensity 100.0; (0 1 2), 2θ = 19.63°, d 4.523, intensity 48.8; (-1 1 1), 2θ = 20.85°, d 4.260, intensity 33.2; (1 1 2), 2θ = 22.20°, d 4.005, intensity 32.4; (-1 1 2), 2θ = 25.72°, d 3.464, intensity 44.4; (1 2 -2), 2θ = 30.82°, d 2.901, intensity 45.4; (1 2 3), 2θ = 32.50°, d 2.755, intensity 25.1; (2 2 2), 2θ = 33.25°, d 2.694, intensity 26.2; (1 1 -4), 2θ = 42.00°, d 2.151, intensity 24.7

Structural model:
Unit cell a=6.7229 b=8.9312 c=9.8016 alpha=80.14 beta=86.99 gamma=73.61
Space group P1 (No. 1)
One atom of each set of equivalent atoms:
1 Mg 0.0000 0.0000 0.0000 [1 per cell]
2 Nb 0.2651 0.3254 0.9508 [1 per cell]
3 Nb 0.3166 0.5848 0.2162 [1 per cell]
4 Te 0.5891 0.0387 0.4129 [1 per cell]
5 Te 0.6686 0.7550 0.5893 [1 per cell]
6 Te 0.8673 0.1310 0.5527 [1 per cell]
7 Te 0.9753 0.8364 0.7161 [1 per cell]
8 Cl 0.1238 0.1543 0.1402 [1 per cell]
9 Cl 0.1354 0.4505 0.3799 [1 per cell]
10 Cl 0.1887 0.1105 0.8107 [1 per cell]
11 Cl 0.3270 0.7669 0.3732 [1 per cell]
12 Cl 0.4066 0.4325 0.7487 [1 per cell]
13 Cl 0.4262 0.7516 0.0279 [1 per cell]
14 Cl 0.6185 0.1290 0.9991 [1 per cell]
15 Cl 0.6481 0.4200 0.2864 [1 per cell]
16 Cl 0.9257 0.4799 0.8804 [1 per cell]
17 Cl 0.9528 0.7680 0.1415 [1 per cell]
18 O 0.2955 0.4477 0.0769 [1 per cell]


Entry 2:
This entry pairs a crystal structure of Mg2ClO3 with its simulated powder diffractogram. Radiation: a wavelength of 1.5418 Å. Structure: a DFT-relaxed cell (GGA-PBE, the Materials Project).

Peak list (12 most intense, 10 to 90 degrees two-theta, low angle first)
(0 0 1), 2θ = 11.41°, d 7.755, intensity 18.0; (0 1 0), 2θ = 12.24°, d 7.233, intensity 100.0; (0 1 1), 2θ = 18.06°, d 4.913, intensity 47.1; (1 0 0), 2θ = 22.39°, d 3.972, intensity 5.8; (0 0 2), 2θ = 22.93°, d 3.878, intensity 7.9; (0 2 0), 2θ = 24.62°, d 3.616, intensity 10.0; (1 0 -1), 2θ = 25.18°, d 3.537, intensity 8.4; (0 2 -1), 2θ = 25.45°, d 3.500, intensity 9.0; (0 3 -1), 2θ = 37.25°, d 2.414, intensity 9.0; (2 0 0), 2θ = 45.69°, d 1.986, intensity 6.4; (2 -1 0), 2θ = 47.29°, d 1.922, intensity 17.1; (0 1 4), 2θ = 50.65°, d 1.802, intensity 7.1

Structural model:
Unit cell a=3.9720 b=7.3274 c=7.8562 alpha=99.19 beta=90.03 gamma=90.76
Space group P-1 (No. 2)
One atom of each set of equivalent atoms:
1 Mg 0.2482 0.4145 0.3822 [2 per cell]
2 Mg 0.2522 0.5678 0.8791 [2 per cell]
3 Cl 0.4062 0.8734 0.5413 [2 per cell]
4 O 0.2453 0.3300 0.1101 [2 per cell]
5 O 0.2496 0.5678 0.6234 [2 per cell]
6 O 0.2507 0.5461 0.1382 [2 per cell]


Entry 3:
This entry pairs a crystal structure of Mg2ClO3 with its simulated powder diffractogram. Radiation: a wavelength of 1.5418 Å. Structure: a DFT-relaxed cell (GGA-PBE, the Materials Project).

Peak list (12 most intense, 10 to 90 degrees two-theta, low angle first)
(1 0 1), 2θ = 15.72°, d 5.636, intensity 100.0; (0 1 1), 2θ = 17.09°, d 5.189, intensity 83.2; (1 1 1), 2θ = 20.84°, d 4.262, intensity 27.7; (1 0 2), 2θ = 23.90°, d 3.723, intensity 16.4; (0 2 0), 2θ = 27.39°, d 3.256, intensity 25.7; (0 1 3), 2θ = 34.22°, d 2.620, intensity 52.7; (2 2 0), 2θ = 36.62°, d 2.454, intensity 72.8; (0 0 4), 2θ = 42.11°, d 2.146, intensity 34.8; (4 0 0), 2θ = 48.75°, d 1.868, intensity 14.1; (2 2 4), 2θ = 56.99°, d 1.616, intensity 13.5; (2 3 3), 2θ = 58.84°, d 1.570, intensity 16.4; (4 1 3), 2θ = 60.89°, d 1.521, intensity 19.6

Structural model:
Unit cell a=7.4720 b=6.5125 c=8.5856 alpha=90.00 beta=90.00 gamma=90.00
Space group Pnma (No. 62)
One atom of each set of equivalent atoms:
1 Mg 0.0000 0.0000 0.0000 [4 per cell]
2 Mg 0.2234 0.2500 0.2502 [4 per cell]
3 Cl 0.2435 0.2500 0.5588 [4 per cell]
4 O 0.0281 0.6282 0.7731 [8 per cell]
5 O 0.1642 0.2500 0.0107 [4 per cell]


Entry 4:
This entry pairs a crystal structure of Mg2ClO3 with its simulated powder diffractogram. Radiation: a wavelength of 1.5418 Å. Structure: a DFT-relaxed cell (GGA-PBE, the Materials Project).

Peak list (12 most intense, 10 to 90 degrees two-theta, low angle first)
(0 0 1), 2θ = 11.60°, d 7.627, intensity 100.0; (0 1 0), 2θ = 13.55°, d 6.533, intensity 7.8; (1 0 0), 2θ = 15.74°, d 5.629, intensity 49.6; (0 1 -1), 2θ = 19.78°, d 4.488, intensity 24.4; (1 1 0), 2θ = 20.67°, d 4.298, intensity 9.3; (0 0 2), 2θ = 23.33°, d 3.813, intensity 58.2; (1 0 2), 2θ = 27.25°, d 3.272, intensity 17.2; (1 1 2), 2θ = 27.93°, d 3.194, intensity 13.2; (1 2 1), 2θ = 30.89°, d 2.895, intensity 10.9; (1 0 -3), 2θ = 39.96°, d 2.256, intensity 6.6; (2 0 -2), 2θ = 41.24°, d 2.189, intensity 14.4; (2 2 3), 2θ = 49.65°, d 1.836, intensity 8.7

Structural model:
Unit cell a=5.6486 b=6.7080 c=7.8519 alpha=76.89 beta=85.49 gamma=88.11
Space group P-1 (No. 2)
One atom of each set of equivalent atoms:
1 Mg 0.1890 0.1328 0.4509 [2 per cell]
2 Mg 0.2541 0.5795 0.4800 [2 per cell]
3 Cl 0.1471 0.9254 0.9693 [2 per cell]
4 O 0.0473 0.4069 0.3509 [2 per cell]
5 O 0.1279 0.8624 0.4091 [2 per cell]
6 O 0.4311 0.3036 0.4922 [2 per cell]


Entry 5:
This entry pairs a crystal structure of Rb12MgCl4O4 with its simulated powder diffractogram. Radiation: a wavelength of 1.5418 Å. Structure: a DFT-relaxed cell (GGA-PBE, the Materials Project).

Peak list (12 most intense, 10 to 90 degrees two-theta, low angle first)
(1 0 3), 2θ = 24.87°, d 3.580, intensity 22.9; (0 1 3), 2θ = 25.89°, d 3.441, intensity 17.9; (2 0 2), 2θ = 26.12°, d 3.412, intensity 100.0; (-1 2 1), 2θ = 26.57°, d 3.354, intensity 34.2; (0 2 2), 2θ = 26.75°, d 3.332, intensity 31.3; (0 2 -2), 2θ = 27.13°, d 3.287, intensity 50.7; (2 1 2), 2θ = 27.99°, d 3.188, intensity 27.3; (2 0 -2), 2θ = 29.60°, d 3.018, intensity 60.2; (2 2 0), 2θ = 31.30°, d 2.857, intensity 44.4; (0 0 4), 2θ = 31.65°, d 2.827, intensity 28.1; (2 -2 0), 2θ = 32.37°, d 2.766, intensity 33.2; (0 3 1), 2θ = 33.77°, d 2.654, intensity 15.9

Structural model:
Unit cell a=7.8264 b=8.1694 c=11.4086 alpha=88.93 beta=82.44 gamma=88.03
Space group P1 (No. 1)
One atom of each set of equivalent atoms:
1 Rb 0.0000 0.0000 0.0000 [1 per cell]
2 Rb 0.0011 0.4932 0.5655 [1 per cell]
3 Rb 0.0244 0.4703 0.0916 [1 per cell]
4 Rb 0.0826 0.0245 0.6169 [1 per cell]
5 Rb 0.1305 0.7833 0.2899 [1 per cell]
6 Rb 0.2833 0.6720 0.8331 [1 per cell]
7 Rb 0.4723 0.0508 0.1204 [1 per cell]
8 Rb 0.5031 0.4117 0.5600 [1 per cell]
9 Rb 0.5184 0.5333 0.1413 [1 per cell]
10 Rb 0.5866 0.9949 0.7097 [1 per cell]
11 Rb 0.7596 0.3521 0.8498 [1 per cell]
12 Rb 0.8025 0.2001 0.3323 [1 per cell]
13 Mg 0.4942 0.8311 0.4507 [1 per cell]
14 Cl 0.2252 0.3297 0.3188 [1 per cell]
15 Cl 0.2549 0.2656 0.8224 [1 per cell]
16 Cl 0.7678 0.5994 0.3501 [1 per cell]
17 Cl 0.8648 0.7383 0.8148 [1 per cell]
18 O 0.2460 0.7642 0.0692 [1 per cell]
19 O 0.3845 0.7461 0.5955 [1 per cell]
20 O 0.7589 0.2506 0.0839 [1 per cell]
21 O 0.7994 0.2366 0.6213 [1 per cell]


Entry 6:
This entry pairs a crystal structure of Rb12MgCl4O4 with its simulated powder diffractogram. Radiation: a wavelength of 1.5418 Å. Structure: a DFT-relaxed cell (GGA-PBE, the Materials Project).

Peak list (12 most intense, 10 to 90 degrees two-theta, low angle first)
(1 0 3), 2θ = 24.12°, d 3.690, intensity 49.7; (0 2 2), 2θ = 26.20°, d 3.401, intensity 100.0; (2 0 2), 2θ = 26.70°, d 3.338, intensity 43.0; (0 2 -2), 2θ = 26.98°, d 3.304, intensity 66.5; (-2 1 1), 2θ = 28.24°, d 3.160, intensity 23.1; (2 0 -2), 2θ = 29.15°, d 3.064, intensity 35.8; (0 0 4), 2θ = 29.70°, d 3.008, intensity 20.2; (1 0 4), 2θ = 30.96°, d 2.888, intensity 43.6; (2 2 0), 2θ = 31.56°, d 2.834, intensity 32.7; (2 2 1), 2θ = 31.76°, d 2.818, intensity 22.0; (2 -2 0), 2θ = 33.47°, d 2.677, intensity 37.6; (3 2 4), 2θ = 49.00°, d 1.859, intensity 19.9

Structural model:
Unit cell a=7.5802 b=8.0843 c=12.0933 alpha=87.96 beta=84.44 gamma=86.55
Space group P1 (No. 1)
One atom of each set of equivalent atoms:
1 Rb 0.0000 0.0000 0.0000 [1 per cell]
2 Rb 0.0112 0.4776 0.0041 [1 per cell]
3 Rb 0.0911 0.2203 0.6486 [1 per cell]
4 Rb 0.3108 0.1488 0.1960 [1 per cell]
5 Rb 0.3733 0.9037 0.4831 [1 per cell]
6 Rb 0.4515 0.3999 0.4462 [1 per cell]
7 Rb 0.4936 0.4303 0.9031 [1 per cell]
8 Rb 0.5115 0.9798 0.8714 [1 per cell]
9 Rb 0.6049 0.6862 0.2036 [1 per cell]
10 Rb 0.6966 0.6620 0.6443 [1 per cell]
11 Rb 0.9001 0.9680 0.3890 [1 per cell]
12 Rb 0.9583 0.4636 0.3681 [1 per cell]
13 Mg 0.0931 0.7477 0.7768 [1 per cell]
14 Cl 0.1140 0.6186 0.5797 [1 per cell]
15 Cl 0.1693 0.7420 0.1939 [1 per cell]
16 Cl 0.6494 0.2408 0.6596 [1 per cell]
17 Cl 0.7239 0.2688 0.1838 [1 per cell]
18 O 0.1769 0.1846 0.4239 [1 per cell]
19 O 0.2606 0.2181 0.9776 [1 per cell]
20 O 0.6587 0.6996 0.4094 [1 per cell]
21 O 0.8628 0.7393 0.8539 [1 per cell]


Entry 7:
This entry pairs a crystal structure of Rb12MgCl4O4 with its simulated powder diffractogram. Radiation: a wavelength of 1.5418 Å. Structure: a DFT-relaxed cell (GGA-PBE, the Materials Project).

Peak list (12 most intense, 10 to 90 degrees two-theta, low angle first)
(1 1 2), 2θ = 26.16°, d 3.407, intensity 20.8; (2 1 1), 2θ = 26.47°, d 3.367, intensity 16.0; (0 3 1), 2θ = 26.62°, d 3.349, intensity 26.7; (0 2 2), 2θ = 27.31°, d 3.266, intensity 100.0; (2 2 0), 2θ = 27.70°, d 3.221, intensity 97.4; (2 2 -1), 2θ = 29.70°, d 3.008, intensity 24.5; (2 2 1), 2θ = 30.02°, d 2.977, intensity 15.8; (2 0 -2), 2θ = 31.24°, d 2.863, intensity 51.3; (2 0 2), 2θ = 31.87°, d 2.808, intensity 27.3; (0 4 0), 2θ = 32.47°, d 2.758, intensity 43.2; (2 3 -1), 2θ = 34.90°, d 2.571, intensity 23.7; (2 4 -2), 2θ = 45.69°, d 1.986, intensity 28.3

Structural model:
Unit cell a=7.9354 b=11.0312 c=8.1078 alpha=90.00 beta=91.12 gamma=90.00
Space group Pm (No. 6)
One atom of each set of equivalent atoms:
1 Rb 0.0000 0.0000 0.0000 [1 per cell]
2 Rb 0.0662 0.5000 0.0750 [1 per cell]
3 Rb 0.1922 0.1986 0.3639 [2 per cell]
4 Rb 0.2767 0.2527 0.8511 [2 per cell]
5 Rb 0.4348 0.5000 0.5426 [1 per cell]
6 Rb 0.5457 0.0000 0.6384 [1 per cell]
7 Rb 0.6894 0.2165 0.2795 [2 per cell]
8 Rb 0.7583 0.2890 0.8106 [2 per cell]
9 Mg 0.8613 0.5000 0.4374 [1 per cell]
10 Cl 0.0556 0.5000 0.6870 [1 per cell]
11 Cl 0.4593 0.0000 0.0558 [1 per cell]
12 Cl 0.4944 0.5000 0.9849 [1 per cell]
13 Cl 0.9631 0.0000 0.5864 [1 per cell]
14 O 0.4845 0.2428 0.5649 [2 per cell]
15 O 0.9912 0.2450 0.0777 [2 per cell]


Entry 8:
This entry pairs a crystal structure of RbMgCl3 with its simulated powder diffractogram. Radiation: a wavelength of 1.5418 Å. Structure: a DFT-relaxed cell (GGA-PBE, the Materials Project).

Peak list (12 most intense, 10 to 90 degrees two-theta, low angle first)
(1 0 3), 2θ = 20.69°, d 4.292, intensity 21.2; (1 0 4), 2θ = 24.61°, d 3.618, intensity 30.9; (1 1 0), 2θ = 24.79°, d 3.592, intensity 47.6; (2 0 1), 2θ = 29.14°, d 3.064, intensity 22.5; (0 0 6), 2θ = 30.15°, d 2.965, intensity 48.0; (2 0 2), 2θ = 30.44°, d 2.936, intensity 69.2; (2 0 3), 2θ = 32.50°, d 2.755, intensity 100.0; (2 0 4), 2θ = 35.21°, d 2.549, intensity 83.7; (2 0 8), 2θ = 50.45°, d 1.809, intensity 21.8; (2 2 0), 2θ = 50.84°, d 1.796, intensity 50.1; (2 0 9), 2θ = 55.05°, d 1.668, intensity 21.0; (2 2 6), 2θ = 60.25°, d 1.536, intensity 32.8

Structural model:
Unit cell a=7.1840 b=7.1840 c=17.7874 alpha=90.00 beta=90.00 gamma=120.00
Space group P6_3/mmc (No. 194)
One atom of each set of equivalent atoms:
1 Rb 0.0000 0.0000 0.2500 [2 per cell]
2 Rb 0.3333 0.6667 0.0894 [4 per cell]
3 Mg 0.0000 0.0000 0.0000 [2 per cell]
4 Mg 0.3333 0.6667 0.6601 [4 per cell]
5 Cl 0.0172 0.5086 0.7500 [6 per cell]
6 Cl 0.1660 0.3320 0.5816 [12 per cell]